# 1
This entry pairs a crystal structure of Cs3Cr2Cl9 with its calculated XRD peak list. Radiation: Cu Kα (weighted mean of Kα1 and Kα2). Structure: a crystal structure in Alexandria, relaxed with GGA-PBE.
Intensities are scaled so that the largest is 100.

```
data_Cs3Cr2Cl9
_symmetry_space_group_name_H-M 'P 63/m m c'
_symmetry_Int_Tables_number 194
_symmetry_space_group_name_Hall '-P 6c 2c'
_cell_length_a 7.4235
_cell_length_b 7.4235
_cell_length_c 18.5551
_cell_angle_alpha 90.00
_cell_angle_beta 90.00
_cell_angle_gamma 120.00
loop_
_atom_site_label
_atom_site_type_symbol
_atom_site_fract_x
_atom_site_fract_y
_atom_site_fract_z
Cs1 Cs 0.0000 0.0000 0.2500
Cs2 Cs 0.3333 0.6667 0.0705
Cr1 Cr 0.3333 0.6667 0.6641
Cl1 Cl 0.0450 0.5225 0.7500
Cl2 Cl 0.1829 0.3657 0.5969
```

Principal peaks in the range 5 to 70 degrees two-theta, in order of rising 2θ:
(hkl)  two_theta  I/Imax
1 0 2  16.8  58
1 0 3  19.9  47
1 1 0  24.0  100
1 0 5  27.8  50
0 0 6  28.9  40
2 0 2  29.4  78
2 0 3  31.4  95
2 0 4  33.9  67
2 1 5  44.6  41
2 2 0  49.1  50

# 2
This entry pairs a crystal structure of Cs3CrCl4 with its calculated XRD peak list. Radiation: Cu Kα (weighted mean of Kα1 and Kα2). Structure: a crystal structure in Alexandria, relaxed with GGA-PBE.
Intensities are scaled so that the largest is 100.

```
data_Cs3CrCl4
_symmetry_space_group_name_H-M 'I -4 3 m'
_symmetry_Int_Tables_number 217
_symmetry_space_group_name_Hall 'I -4 2 3'
_cell_length_a 8.328
_cell_length_b 8.328
_cell_length_c 8.328
_cell_angle_alpha 90.00
_cell_angle_beta 90.00
_cell_angle_gamma 90.00
loop_
_atom_site_label
_atom_site_type_symbol
_atom_site_fract_x
_atom_site_fract_y
_atom_site_fract_z
Cs1 Cs 0.000 0.000 0.500
Cr1 Cr 0.000 0.000 0.000
Cl1 Cl 0.177 0.177 0.823
```

Principal peaks in the range 5 to 70 degrees two-theta, in order of rising 2θ:
(hkl)  two_theta  I/Imax
2 0 0  21.3  61
2 1 1  26.2  21
2 2 0  30.4  100
3 1 0  34.0  11
2 2 2  37.4  26
4 0 0  43.5  12
4 2 0  48.9  45
4 2 2  53.9  30
4 4 0  63.2  10
6 0 0  67.5  22